Structure and calculated X-ray diffraction stick pattern of CsInP2S8 (a DFT-relaxed cell (GGA-PBE, Alexandria); CuKα).
No peak broadening, texture or thermal motion is included.

Structure:
a = 6.1500 Å, b = 6.1500 Å, c = 29.9304 Å
α = 90.00°, β = 90.00°, γ = 120.00°
Space group R-3 (No. 148, hexagonal axes)
Unique sites:
Cs: 0.0000 0.0000 0.0000
In: 0.0000 0.0000 0.5000
P: 0.0000 0.0000 0.2372
S: 0.0000 0.0000 0.3044
S: 0.0018 0.6370 0.5501

Most intense lines, 2θ = 5–70°, by angle:
2θ = 20.47°, intensity 100.0; 2θ = 29.04°, intensity 32.8; 2θ = 29.17°, intensity 26.6; 2θ = 30.42°, intensity 23.5; 2θ = 34.25°, intensity 56.1; 2θ = 34.37°, intensity 22.3; 2θ = 35.79°, intensity 26.8; 2θ = 46.73°, intensity 22.9; 2θ = 46.90°, intensity 24.2; 2θ = 51.50°, intensity 32.9

***

Structure and calculated X-ray diffraction stick pattern of Fe2PdPt3 (a DFT-relaxed cell (GGA-PBE, Alexandria); CuKα).
No peak broadening, texture or thermal motion is included.

Structure:
a = 5.4597 Å, b = 7.8067 Å, c = 16.5079 Å
α = 90.00°, β = 90.00°, γ = 90.00°
Space group Fddd (No. 70, origin choice 2)
Unique sites:
Fe: 0.1250 0.1250 0.2946
Pd: 0.1250 0.1250 0.6250
Pt: 0.1250 0.1250 0.1250
Pt: 0.1250 0.1250 0.4595

Most intense lines, 2θ = 5–70°, by angle:
2θ = 25.66°, intensity 59.1; 2θ = 40.10°, intensity 100.0; 2θ = 40.32°, intensity 98.7; 2θ = 41.81°, intensity 17.2; 2θ = 46.53°, intensity 32.7; 2θ = 46.88°, intensity 63.9; 2θ = 54.03°, intensity 8.5; 2θ = 54.38°, intensity 8.3; 2θ = 68.19°, intensity 51.6; 2θ = 68.78°, intensity 10.1